ErMgIn3: theoretical XRD peak list (Cu Kα X-rays), based on a GGA-PBE-relaxed structure.
No peak broadening, texture or thermal motion is included.

Cell and atoms:
```
data_ErMgIn3
_space_group_name_H-M_alt 'P m m a'
_space_group_IT_number 51
_cell_length_a 10.2038
_cell_length_b 3.3231
_cell_length_c 8.1976
_cell_angle_alpha 90.00
_cell_angle_beta 90.00
_cell_angle_gamma 90.00
loop_
_space_group_symop_operation_xyz
'x,y,z'
'-x,-y,-z'
'-x+1/2,-y,z'
'x+1/2,y,-z'
'x+1/2,-y,-z'
'-x+1/2,y,z'
'-x,y,-z'
'x,-y,z'
loop_
_atom_site_label
_atom_site_fract_x
_atom_site_fract_y
_atom_site_fract_z
_atom_site_occupancy
Er1 0.2500 0.0000 0.0975 1
Mg1 0.2500 0.5000 0.7264 1
In1 0.0000 0.5000 0.0000 1
In2 0.0964 0.5000 0.3747 1
```

Peak list (10 most intense, 2θ from 10° to 90°, by angle)
d 6.391, intensity 100, hkl 1 0 1
d 2.785, intensity 58, hkl 2 1 0
d 2.638, intensity 68, hkl 1 0 3
d 2.617, intensity 65, hkl 3 0 2
d 2.502, intensity 60, hkl 1 1 2
d 2.436, intensity 49, hkl 4 0 1
d 2.283, intensity 46, hkl 3 1 1
d 2.111, intensity 26, hkl 0 1 3
d 1.793, intensity 24, hkl 3 1 3
d 1.440, intensity 25, hkl 4 1 4

=====

LaSc5Cd4: theoretical XRD peak list (Cu Kα X-rays), based on a GGA-PBE-relaxed structure.
No peak broadening, texture or thermal motion is included.

Cell and atoms:
```
data_LaSc5Cd4
_space_group_name_H-M_alt 'P 4/m m m'
_space_group_IT_number 123
_space_group_name_Hall '-P 4 2'
_cell_length_a 3.5327
_cell_length_b 3.5327
_cell_length_c 19.0484
_cell_angle_alpha 90.00
_cell_angle_beta 90.00
_cell_angle_gamma 90.00
loop_
_atom_site_label
_atom_site_fract_x
_atom_site_fract_y
_atom_site_fract_z
_atom_site_occupancy
La1 0.0000 0.0000 0.0000 1
Sc1 0.5000 0.5000 0.1272 1
Sc2 0.5000 0.5000 0.3138 1
Sc3 0.5000 0.5000 0.5000 1
Cd1 0.0000 0.0000 0.2193 1
Cd2 0.0000 0.0000 0.4064 1
```

Peak list (10 most intense, 2θ from 10° to 90°, by angle)
d 3.810, intensity 17, hkl 0 0 5
d 3.533, intensity 28, hkl 1 0 0
d 2.837, intensity 8, hkl 1 0 4
d 2.590, intensity 100, hkl 1 0 5
d 2.498, intensity 56, hkl 1 1 0
d 2.361, intensity 12, hkl 1 0 6
d 2.089, intensity 13, hkl 1 1 5
d 1.766, intensity 19, hkl 2 0 0
d 1.515, intensity 9, hkl 1 1 10
d 1.459, intensity 31, hkl 2 1 5

=====

Rb3Be2H8: theoretical XRD peak list (Cu Kα X-rays), based on a GGA-PBE-relaxed structure.
No peak broadening, texture or thermal motion is included.

Cell and atoms:
```
data_Rb3Be2H8
_space_group_name_H-M_alt 'R -3 m'
_space_group_IT_number 166
_space_group_name_Hall '-R 3 2"'
_cell_length_a 5.7338
_cell_length_b 5.7338
_cell_length_c 20.9571
_cell_angle_alpha 90.00
_cell_angle_beta 90.00
_cell_angle_gamma 120.00
loop_
_atom_site_label
_atom_site_fract_x
_atom_site_fract_y
_atom_site_fract_z
_atom_site_occupancy
Rb1 0.0000 0.0000 0.0000 1
Rb2 0.0000 0.0000 0.2145 1
Be1 0.0000 0.0000 0.4283 1
H1 0.0000 0.0000 0.3568 1
H2 0.0459 0.5229 0.2282 1
```

Peak list (10 most intense, 2θ from 10° to 90°, by angle)
d 4.832, intensity 49, hkl 1 0 1
d 3.604, intensity 75, hkl 1 0 4
d 3.203, intensity 100, hkl 0 1 5
d 2.867, intensity 88, hkl 1 1 0
d 2.244, intensity 22, hkl 0 2 4
d 2.136, intensity 32, hkl 2 0 5
d 1.807, intensity 37, hkl 1 1 9
d 1.767, intensity 19, hkl 2 1 4
d 1.713, intensity 30, hkl 1 2 5
d 1.433, intensity 21, hkl 2 2 0

=====

PmNd6Er3: theoretical XRD peak list (Cu Kα X-rays), based on a GGA-PBE-relaxed structure.
No peak broadening, texture or thermal motion is included.

Cell and atoms:
```
data_PmNd6Er3
_space_group_name_H-M_alt 'C m c 21'
_space_group_IT_number 36
_cell_length_a 9.8289
_cell_length_b 21.4388
_cell_length_c 6.4779
_cell_angle_alpha 90.00
_cell_angle_beta 90.00
_cell_angle_gamma 90.00
loop_
_space_group_symop_operation_xyz
'x,y,z'
'-x,-y,z+1/2'
'-x,y,z'
'x,-y,z+1/2'
'x+1/2,y+1/2,z'
'-x+1/2,-y+1/2,z+1/2'
'-x+1/2,y+1/2,z'
'x+1/2,-y+1/2,z+1/2'
loop_
_atom_site_label
_atom_site_fract_x
_atom_site_fract_y
_atom_site_fract_z
_atom_site_occupancy
Pm1 0.0000 0.1568 0.0000 1
Nd1 0.0000 0.0151 0.2115 1
Nd2 0.0000 0.3005 0.2081 1
Nd3 0.1740 0.2812 0.6838 1
Nd4 0.1789 0.4408 0.4327 1
Er1 0.0000 0.4190 0.9130 1
Er2 0.1681 0.1262 0.5218 1
```

Peak list (10 most intense, 2θ from 10° to 90°, by angle)
d 3.162, intensity 59, hkl 2 4 1
d 3.129, intensity 33, hkl 0 6 1
d 2.924, intensity 61, hkl 1 7 0
d 2.896, intensity 100, hkl 3 1 1
d 2.826, intensity 55, hkl 1 3 2
d 2.772, intensity 41, hkl 0 4 2
d 2.706, intensity 62, hkl 3 3 1
d 2.639, intensity 28, hkl 2 6 1
d 1.655, intensity 37, hkl 5 7 0
d 1.637, intensity 30, hkl 6 0 0

=====

PuNp2Bi9: theoretical XRD peak list (Cu Kα X-rays), based on a GGA-PBE-relaxed structure.
No peak broadening, texture or thermal motion is included.

Cell and atoms:
```
data_PuNp2Bi9
_space_group_name_H-M_alt 'P 4/m m m'
_space_group_IT_number 123
_space_group_name_Hall '-P 4 2'
_cell_length_a 4.9056
_cell_length_b 4.9056
_cell_length_c 14.9169
_cell_angle_alpha 90.00
_cell_angle_beta 90.00
_cell_angle_gamma 90.00
loop_
_atom_site_label
_atom_site_fract_x
_atom_site_fract_y
_atom_site_fract_z
_atom_site_occupancy
Pu1 0.0000 0.0000 0.0000 1
Np1 0.0000 0.0000 0.3366 1
Bi1 0.0000 0.5000 0.1680 1
Bi2 0.0000 0.5000 0.5000 1
Bi3 0.5000 0.5000 0.0000 1
Bi4 0.5000 0.5000 0.3337 1
```

Peak list (10 most intense, 2θ from 10° to 90°, by angle)
d 2.845, intensity 100, hkl 1 1 3
d 2.486, intensity 17, hkl 0 0 6
d 2.453, intensity 34, hkl 2 0 0
d 1.746, intensity 25, hkl 2 0 6
d 1.734, intensity 12, hkl 2 2 0
d 1.495, intensity 15, hkl 1 1 9
d 1.481, intensity 29, hkl 3 1 3
d 1.422, intensity 13, hkl 2 2 6
d 1.133, intensity 13, hkl 3 1 9
d 1.126, intensity 6, hkl 3 3 3

=====

NaSrAuSe2: theoretical XRD peak list (Cu Kα X-rays), based on a GGA-PBE-relaxed structure.
No peak broadening, texture or thermal motion is included.

Cell and atoms:
```
data_NaSrAuSe2
_space_group_name_H-M_alt 'P 1 2/c 1'
_space_group_IT_number 13
_cell_length_a 7.2952
_cell_length_b 4.8974
_cell_length_c 8.1144
_cell_angle_alpha 90.00
_cell_angle_beta 103.22
_cell_angle_gamma 90.00
loop_
_space_group_symop_operation_xyz
'x,y,z'
'-x,-y,-z'
'-x,y,-z+1/2'
'x,-y,z+1/2'
loop_
_atom_site_label
_atom_site_fract_x
_atom_site_fract_y
_atom_site_fract_z
_atom_site_occupancy
Na1 0.0000 0.0269 0.2500 1
Sr1 0.5000 0.3015 0.7500 1
Au1 0.0000 0.5000 0.0000 1
Se1 0.2832 0.2134 0.0389 1
```

Peak list (10 most intense, 2θ from 10° to 90°, by angle)
d 4.897, intensity 50, hkl 0 1 0
d 4.032, intensity 55, hkl 1 1 0
d 3.950, intensity 58, hkl 0 0 2
d 3.845, intensity 100, hkl 1 0 -2
d 3.416, intensity 84, hkl 1 1 1
d 3.024, intensity 68, hkl 1 1 -2
d 2.875, intensity 59, hkl 2 1 0
d 2.654, intensity 62, hkl 1 1 2
d 2.558, intensity 62, hkl 2 1 -2
d 2.316, intensity 77, hkl 1 2 0

=====

YThSc4: theoretical XRD peak list (Cu Kα X-rays), based on a GGA-PBE-relaxed structure.
No peak broadening, texture or thermal motion is included.

Cell and atoms:
```
data_YThSc4
_space_group_name_H-M_alt 'P m m a'
_space_group_IT_number 51
_cell_length_a 10.7387
_cell_length_b 3.3370
_cell_length_c 9.1626
_cell_angle_alpha 90.00
_cell_angle_beta 90.00
_cell_angle_gamma 90.00
loop_
_space_group_symop_operation_xyz
'x,y,z'
'-x,-y,-z'
'-x+1/2,-y,z'
'x+1/2,y,-z'
'x+1/2,-y,-z'
'-x+1/2,y,z'
'-x,y,-z'
'x,-y,z'
loop_
_atom_site_label
_atom_site_fract_x
_atom_site_fract_y
_atom_site_fract_z
_atom_site_occupancy
Y1 0.2500 0.0000 0.0476 1
Th1 0.2500 0.0000 0.6971 1
Sc1 0.0000 0.0000 0.5000 1
Sc2 0.0024 0.5000 0.8198 1
Sc3 0.2500 0.5000 0.3735 1
```

Peak list (10 most intense, 2θ from 10° to 90°, by angle)
d 6.970, intensity 100, hkl 1 0 1
d 5.369, intensity 62, hkl 2 0 0
d 3.336, intensity 38, hkl 0 1 0
d 3.010, intensity 59, hkl 1 1 1
d 2.938, intensity 30, hkl 1 0 3
d 2.834, intensity 54, hkl 2 1 0
d 2.685, intensity 57, hkl 4 0 0
d 2.655, intensity 76, hkl 2 0 3
d 2.616, intensity 48, hkl 1 1 2
d 2.359, intensity 32, hkl 3 1 1

=====

LaPm5Co3: theoretical XRD peak list (Cu Kα X-rays), based on a GGA-PBE-relaxed structure.
No peak broadening, texture or thermal motion is included.

Cell and atoms:
```
data_LaPm5Co3
_space_group_name_H-M_alt 'P 1 2/m 1'
_space_group_IT_number 10
_cell_length_a 6.4757
_cell_length_b 4.0604
_cell_length_c 19.4808
_cell_angle_alpha 90.00
_cell_angle_beta 90.70
_cell_angle_gamma 90.00
loop_
_space_group_symop_operation_xyz
'x,y,z'
'-x,-y,-z'
'-x,y,-z'
'x,-y,z'
loop_
_atom_site_label
_atom_site_fract_x
_atom_site_fract_y
_atom_site_fract_z
_atom_site_occupancy
La1 0.2279 0.0000 0.2220 1
Pm1 0.2265 0.0000 0.8886 1
Pm2 0.2335 0.0000 0.5555 1
Pm3 0.2688 0.5000 0.3912 1
Pm4 0.2704 0.5000 0.7205 1
Pm5 0.2711 0.5000 0.0537 1
Co1 0.0000 0.5000 0.5000 1
Co2 0.0085 0.5000 0.1686 1
Co3 0.4948 0.0000 0.3320 1
Co4 0.5000 0.0000 0.0000 1
```

Peak list (10 most intense, 2θ from 10° to 90°, by angle)
d 3.238, intensity 45, hkl 2 0 0
d 3.048, intensity 100, hkl 1 1 -3
d 3.032, intensity 99, hkl 1 1 3
d 2.916, intensity 48, hkl 1 0 -6
d 2.888, intensity 47, hkl 1 0 6
d 2.367, intensity 39, hkl 2 1 -3
d 2.351, intensity 38, hkl 2 1 3
d 2.030, intensity 32, hkl 0 2 0
d 1.910, intensity 52, hkl 0 1 9
d 1.834, intensity 20, hkl 3 1 -3

=====

CsEr2Zr2O7: theoretical XRD peak list (Cu Kα X-rays), based on a GGA-PBE-relaxed structure.
No peak broadening, texture or thermal motion is included.

Cell and atoms:
```
data_CsEr2Zr2O7
_space_group_name_H-M_alt 'I m m m'
_space_group_IT_number 71
_space_group_name_Hall '-I 2 2'
_cell_length_a 4.3796
_cell_length_b 4.5046
_cell_length_c 18.5073
_cell_angle_alpha 90.00
_cell_angle_beta 90.00
_cell_angle_gamma 90.00
loop_
_atom_site_label
_atom_site_fract_x
_atom_site_fract_y
_atom_site_fract_z
_atom_site_occupancy
Cs1 0.0000 0.0000 0.0000 1
Er1 0.0000 0.5000 0.2566 1
Zr1 0.0000 0.0000 0.3897 1
O1 0.0000 0.0000 0.2666 1
O2 0.0000 0.0000 0.5000 1
O3 0.0000 0.5000 0.1307 1
O4 0.0000 0.5000 0.3767 1
```

Peak list (10 most intense, 2θ from 10° to 90°, by angle)
d 4.627, intensity 22, hkl 0 0 4
d 3.571, intensity 22, hkl 1 0 3
d 2.974, intensity 100, hkl 1 1 2
d 2.860, intensity 22, hkl 0 1 5
d 2.598, intensity 20, hkl 1 1 4
d 2.313, intensity 25, hkl 0 0 8
d 2.252, intensity 29, hkl 0 2 0
d 2.200, intensity 21, hkl 1 1 6
d 2.190, intensity 30, hkl 2 0 0
d 1.595, intensity 26, hkl 1 1 10

=====

Pu2SeBr2O: theoretical XRD peak list (Cu Kα X-rays), based on a GGA-PBE-relaxed structure.
No peak broadening, texture or thermal motion is included.

Cell and atoms:
```
data_Pu2SeBr2O
_space_group_name_H-M_alt 'P m c 21'
_space_group_IT_number 26
_cell_length_a 3.9744
_cell_length_b 11.3594
_cell_length_c 7.4616
_cell_angle_alpha 90.00
_cell_angle_beta 90.00
_cell_angle_gamma 90.00
loop_
_space_group_symop_operation_xyz
'x,y,z'
'-x,-y,z+1/2'
'-x,y,z'
'x,-y,z+1/2'
loop_
_atom_site_label
_atom_site_fract_x
_atom_site_fract_y
_atom_site_fract_z
_atom_site_occupancy
Pu1 0.0000 0.0641 0.0000 1
Pu2 0.5000 0.2137 0.3851 1
Se1 0.5000 0.0688 0.6955 1
Br1 0.0000 0.3828 0.5099 1
Br2 0.5000 0.2754 0.0162 1
O1 0.0000 0.1198 0.3252 1
```

Peak list (10 most intense, 2θ from 10° to 90°, by angle)
d 6.236, intensity 49, hkl 0 1 1
d 3.731, intensity 50, hkl 0 0 2
d 3.377, intensity 35, hkl 0 3 1
d 3.352, intensity 31, hkl 1 1 1
d 3.256, intensity 77, hkl 1 2 0
d 2.984, intensity 100, hkl 1 2 1
d 2.655, intensity 70, hkl 0 4 1
d 2.453, intensity 65, hkl 1 2 2
d 1.987, intensity 31, hkl 2 0 0
d 1.591, intensity 30, hkl 2 4 1

=====

NiHAu: theoretical XRD peak list (Cu Kα X-rays), based on a GGA-PBE-relaxed structure.
No peak broadening, texture or thermal motion is included.

Cell and atoms:
```
data_NiHAu
_space_group_name_H-M_alt 'F d d 2'
_space_group_IT_number 43
_space_group_name_Hall 'F 2 -2d'
_cell_length_a 8.9362
_cell_length_b 8.9818
_cell_length_c 6.4993
_cell_angle_alpha 90.00
_cell_angle_beta 90.00
_cell_angle_gamma 90.00
loop_
_atom_site_label
_atom_site_fract_x
_atom_site_fract_y
_atom_site_fract_z
_atom_site_occupancy
Ni1 0.0807 0.3803 0.0000 1
H1 0.0949 0.0635 0.5346 1
Au1 0.1129 0.3458 0.4138 1
```

Peak list (10 most intense, 2θ from 10° to 90°, by angle)
d 4.536, intensity 48, hkl 1 1 1
d 2.631, intensity 13, hkl 0 2 2
d 2.602, intensity 26, hkl 1 3 1
d 2.593, intensity 28, hkl 3 1 1
d 2.268, intensity 100, hkl 2 2 2
d 2.245, intensity 24, hkl 0 4 0
d 2.234, intensity 25, hkl 4 0 0
d 2.050, intensity 22, hkl 1 1 3
d 2.007, intensity 25, hkl 2 4 0
d 1.721, intensity 19, hkl 1 3 3

=====

K2TbGaBr6: theoretical XRD peak list (Cu Kα X-rays), based on a GGA-PBE-relaxed structure.
No peak broadening, texture or thermal motion is included.

Cell and atoms:
```
data_K2TbGaBr6
_space_group_name_H-M_alt 'R 3'
_space_group_IT_number 146
_space_group_name_Hall 'R 3'
_cell_length_a 8.0019
_cell_length_b 8.0019
_cell_length_c 20.4646
_cell_angle_alpha 90.00
_cell_angle_beta 90.00
_cell_angle_gamma 120.00
loop_
_atom_site_label
_atom_site_fract_x
_atom_site_fract_y
_atom_site_fract_z
_atom_site_occupancy
K1 0.0000 0.0000 0.0000 1
K2 0.0000 0.0000 0.4916 1
Tb1 0.0000 0.0000 0.7039 1
Ga1 0.0000 0.0000 0.2114 1
Br1 0.0133 0.4059 0.4453 1
Br2 0.0763 0.7120 0.2856 1
```

Peak list (10 most intense, 2θ from 10° to 90°, by angle)
d 6.564, intensity 27, hkl 1 0 1
d 5.738, intensity 89, hkl 0 1 2
d 4.116, intensity 22, hkl 1 0 4
d 3.451, intensity 100, hkl 2 -1 3
d 2.869, intensity 62, hkl 0 2 4
d 2.596, intensity 88, hkl 2 -1 6
d 2.331, intensity 22, hkl 3 -1 4
d 2.310, intensity 42, hkl 3 0 0
d 1.977, intensity 22, hkl 1 1 9
d 1.518, intensity 23, hkl 3 2 4